Simulated powder X-ray diffraction pattern
Compound: SrY2CuO5
Radiation: CuKα
Structure: the GGA-PBE geometry in Alexandria
Peak positions follow from Bragg's law for the DFT cell and can differ from measured ones.

Peak list (10 most intense, 10 to 90 degrees two-theta, low angle first)
2θ/deg	Rel. int.
31.3	37
31.7	100
31.8	32
39.0	55
39.3	26
44.1	16
50.8	23
51.0	22
56.0	20
59.2	22

Structure:
Cell: 6.490 6.490 11.433 Å, 90.00 90.00 90.00°
Space group I4/mcm (No. 140)
One atom of each set of equivalent atoms:
Sr  0.000  0.000  0.250 [4 per cell]
Y  0.172  0.328  0.000 [8 per cell]
Cu  0.000  0.500  0.250 [4 per cell]
O  0.000  0.000  0.000 [4 per cell]
O  0.146  0.354  0.373 [16 per cell]